This entry pairs a crystal structure of Pa3Co3Bi4 with its calculated powder diffraction line list. Radiation: copper Kα. Structure: a DFT-relaxed cell (PBE, Alexandria).
Peak positions follow from Bragg's law for the DFT cell and can differ from measured ones.

Peak list (6 most intense, 5° ≤ 2θ ≤ 70°, low angle first)
2theta	d (Å)	I/Imax
29.5	3.023	68
35.1	2.555	100
42.3	2.138	25
46.5	1.951	19
59.6	1.551	22
63.0	1.475	13

a = 8.279 Å, b = 8.279 Å, c = 8.279 Å
α = 109.47°, β = 109.47°, γ = 109.47°
Element x y z (fractional)
1 Pa 0.125 0.750 0.875
2 Pa 0.250 0.625 0.375
3 Pa 0.375 0.250 0.625
4 Pa 0.625 0.375 0.250
5 Pa 0.750 0.875 0.125
6 Pa 0.875 0.125 0.750
7 Co 0.125 0.875 0.250
8 Co 0.250 0.125 0.875
9 Co 0.375 0.625 0.750
10 Co 0.625 0.750 0.375
11 Co 0.750 0.375 0.625
12 Co 0.875 0.250 0.125
13 Bi 0.000 0.333 0.500
14 Bi 0.000 0.833 0.500
15 Bi 0.167 0.167 0.167
16 Bi 0.333 0.500 0.000
17 Bi 0.500 0.000 0.333
18 Bi 0.500 0.000 0.833
19 Bi 0.667 0.667 0.667
20 Bi 0.833 0.500 0.000